# Ca4Zn2Cu3P5
Calculated X-ray powder pattern, Cu Kα, 1.54184 Å. Input: a structure optimized by DFT (GGA-PBE).

Structure:
a b c (Å): 4.0439 4.0439 37.2565
angles (deg): 90.00 90.00 120.00
Space group P6_3/mmc (No. 194)
Unique sites:
Ca  0.0000  0.0000  0.0914 (multiplicity 4)
Ca  0.0000  0.0000  0.1971 (multiplicity 4)
Zn  0.3333  0.6667  0.0243 (multiplicity 4)
Cu  0.3333  0.6667  0.2500 (multiplicity 2)
Cu  0.3333  0.6667  0.6439 (multiplicity 4)
P  0.3333  0.6667  0.1444 (multiplicity 4)
P  0.3333  0.6667  0.5438 (multiplicity 4)
P  0.3333  0.6667  0.7500 (multiplicity 2)

Most intense lines, 2θ = 5–70°, in order of rising 2θ:
Position (°2θ)	d (Å)	intensity
19.06	4.657	14
28.15	3.169	27
29.28	3.050	16
31.98	2.799	47
35.17	2.552	95
40.68	2.218	29
43.73	2.070	21
44.82	2.022	100
58.22	1.585	20
64.42	1.446	37



# MnSi7N10
Calculated X-ray powder pattern, Cu Kα, 1.54184 Å. Input: a structure optimized by DFT (GGA-PBE).

Structure:
a b c (Å): 6.7303 6.8946 9.7152
angles (deg): 90.00 104.67 90.00
Space group Pc (No. 7)
Unique sites:
Mn  0.0000  0.0662  0.0000 (multiplicity 2)
Si  0.1120  0.4002  0.8722 (multiplicity 2)
Si  0.3007  0.3817  0.1806 (multiplicity 2)
Si  0.3519  0.0222  0.8180 (multiplicity 2)
Si  0.4867  0.3667  0.4842 (multiplicity 2)
Si  0.5436  0.0206  0.1217 (multiplicity 2)
Si  0.6625  0.3614  0.7897 (multiplicity 2)
Si  0.8460  0.3842  0.1066 (multiplicity 2)
N  0.0781  0.4311  0.2327 (multiplicity 2)
N  0.1545  0.1594  0.8432 (multiplicity 2)
N  0.2917  0.4943  0.0210 (multiplicity 2)
N  0.3156  0.1304  0.1633 (multiplicity 2)
N  0.4478  0.1196  0.4688 (multiplicity 2)
N  0.5012  0.4581  0.3201 (multiplicity 2)
N  0.5558  0.1362  0.7667 (multiplicity 2)
N  0.7020  0.4134  0.6226 (multiplicity 2)
N  0.7506  0.1546  0.1091 (multiplicity 2)
N  0.8849  0.3838  0.9299 (multiplicity 2)

Most intense lines, 2θ = 5–70°, in order of rising 2θ:
Position (°2θ)	d (Å)	intensity
15.94	5.559	71
19.38	4.580	100
25.84	3.447	46
26.04	3.421	35
29.14	3.065	37
29.68	3.010	46
31.96	2.800	46
37.22	2.416	28
37.41	2.404	50
39.56	2.278	36



# MgSi
Calculated X-ray powder pattern, Cu Kα, 1.54184 Å. Input: a structure optimized by DFT (GGA-PBE).

Structure:
a b c (Å): 5.5642 5.6089 7.6723
angles (deg): 90.49 107.21 100.05
Space group P-1 (No. 2)
Unique sites:
Mg  0.1833  0.2705  0.0380 (multiplicity 2)
Mg  0.2128  0.6086  0.6986 (multiplicity 2)
Mg  0.2444  0.8595  0.3549 (multiplicity 2)
Si  0.2531  0.1166  0.6759 (multiplicity 2)
Si  0.3095  0.3629  0.4197 (multiplicity 2)
Si  0.3775  0.8204  0.0461 (multiplicity 2)

Most intense lines, 2θ = 5–70°, in order of rising 2θ:
Position (°2θ)	d (Å)	intensity
34.02	2.635	100
34.34	2.612	60
35.60	2.522	48
36.87	2.438	44
41.43	2.180	15
42.35	2.134	59
45.44	1.996	26
45.57	1.991	15
47.30	1.922	14
50.88	1.795	13